1.
This entry pairs a crystal structure of NaSn2Pt2 with its computed X-ray powder pattern. Radiation: Cu Ka. Structure: a cell relaxed with PBE.
Lines closer than 0.1° are merged.

Crystal structure
Lattice parameters (Å, degrees): 4.3621 4.3621 12.0106 90.00 90.00 90.00
Space group I4/mmm (No. 139)
Unique sites:
1 Na 0.0000 0.0000 0.0000 [2 per cell]
2 Sn 0.0000 0.0000 0.3790 [4 per cell]
3 Pt 0.0000 0.5000 0.2500 [4 per cell]

Top 12 peaks for 2θ = 5–70°, sorted by position:
two_theta  Rel. int.
14.8  100
21.7  32
30.3  21
32.6  89
41.4  56
42.0  93
43.0  11
44.2  27
54.7  16
60.0  19
63.0  12
70.0  20

---

2.
This entry pairs a crystal structure of Fe2PtI4Br4 with its computed X-ray powder pattern. Radiation: Cu Ka. Structure: a cell relaxed with PBE.
Lines closer than 0.1° are merged.

Crystal structure
Lattice parameters (Å, degrees): 12.2223 10.2427 7.3581 90.00 96.39 90.00
Space group C2/m (No. 12)
Unique sites:
1 Fe 0.2113 0.0000 0.3259 [4 per cell]
2 Pt 0.0000 0.0000 0.0000 [2 per cell]
3 I 0.1054 0.5000 0.7901 [4 per cell]
4 I 0.2262 0.0000 0.6663 [4 per cell]
5 Br 0.0897 0.1739 0.1966 [8 per cell]

Top 12 peaks for 2θ = 5–70°, sorted by position:
two_theta  Rel. int.
11.3  36
16.0  35
17.3  80
17.9  39
20.0  22
25.5  100
26.1  34
26.6  85
34.8  25
36.2  33
40.7  26
45.8  35

---

3.
This entry pairs a crystal structure of Ag9Ge with its computed X-ray powder pattern. Radiation: Cu Ka. Structure: a cell relaxed with PBE.
Lines closer than 0.1° are merged.

Crystal structure
Lattice parameters (Å, degrees): 2.9072 2.9072 56.1496 90.00 90.00 90.00
Space group P4/nmm (No. 129, origin choice 2)
Unique sites:
1 Ag 0.2500 0.2500 0.0186 [2 per cell]
2 Ag 0.2500 0.2500 0.0933 [2 per cell]
3 Ag 0.2500 0.2500 0.1686 [2 per cell]
4 Ag 0.2500 0.2500 0.2444 [2 per cell]
5 Ag 0.2500 0.2500 0.3211 [2 per cell]
6 Ag 0.2500 0.2500 0.7174 [2 per cell]
7 Ag 0.2500 0.2500 0.7936 [2 per cell]
8 Ag 0.2500 0.2500 0.8691 [2 per cell]
9 Ag 0.2500 0.2500 0.9440 [2 per cell]
10 Ge 0.2500 0.2500 0.6416 [2 per cell]

Top 12 peaks for 2θ = 5–70°, sorted by position:
two_theta  Rel. int.
7.9  5
9.5  3
35.5  5
37.3  100
38.2  40
41.8  11
43.5  13
44.1  43
44.2  3
62.4  13
63.6  16
64.1  14

---

4.
This entry pairs a crystal structure of Al6SiH6Pt with its computed X-ray powder pattern. Radiation: Cu Ka. Structure: a cell relaxed with PBE.
Lines closer than 0.1° are merged.

Crystal structure
Lattice parameters (Å, degrees): 8.9369 8.9369 8.9369 90.00 90.00 90.00
Space group F-43m (No. 216)
Unique sites:
1 Al 0.0000 0.0000 0.2284 [24 per cell]
2 Si 0.2500 0.2500 0.2500 [4 per cell]
3 H 0.0671 0.2500 0.2500 [24 per cell]
4 Pt 0.0000 0.0000 0.5000 [4 per cell]

Top 12 peaks for 2θ = 5–70°, sorted by position:
two_theta  Rel. int.
17.2  100
19.9  84
28.2  44
33.2  82
40.4  43
44.2  49
45.4  39
50.0  17
53.3  24
58.4  27
61.4  22
62.3  19